1.
Structure and computed XRD peak list of BSb3H (a cell relaxed with PBE; Cu Kα X-rays).
Kinematic intensities with the Lorentz-polarization factor, no thermal factor.

Atomic structure:
Lattice parameters (Å, degrees): 4.6252 4.6252 4.6252 90.00 90.00 90.00
Space group Pm-3m (No. 221)
Unique sites:
B 0.0000 0.0000 0.0000 [1 per cell]
Sb 0.0000 0.5000 0.5000 [3 per cell]
H 0.5000 0.5000 0.5000 [1 per cell]

Top 10 peaks for 2θ = 10–90°, in order of falling intensity:
| d_spacing | I/Imax | index |
| --- | --- | --- |
| 2.670 | 100 | 1 1 1 |
| 2.313 | 50 | 2 0 0 |
| 1.395 | 39 | 3 1 1 |
| 1.635 | 34 | 2 2 0 |
| 4.625 | 28 | 1 0 0 |
| 3.271 | 23 | 1 1 0 |
| 2.068 | 14 | 2 1 0 |
| 1.335 | 11 | 2 2 2 |
| 1.888 | 10 | 2 1 1 |
| 1.542 | 7 | 3 0 0 |

=====

2.
Structure and computed XRD peak list of BH3Se (a cell relaxed with PBE; Cu Kα X-rays).
Kinematic intensities with the Lorentz-polarization factor, no thermal factor.

Atomic structure:
Lattice parameters (Å, degrees): 3.2823 4.6662 8.8939 90.00 90.00 90.00
Space group Pmc2_1 (No. 26)
Unique sites:
B 0.0000 0.1343 0.0000 [2 per cell]
H 0.0000 0.1232 0.4953 [2 per cell]
H 0.0000 0.2627 0.8821 [2 per cell]
H 0.5000 0.0720 0.2412 [2 per cell]
Se 0.5000 0.2909 0.1196 [2 per cell]

Top 10 peaks for 2θ = 10–90°, in order of falling intensity:
| d_spacing | I/Imax | index |
| --- | --- | --- |
| 4.132 | 100 | 0 1 1 |
| 4.447 | 55 | 0 0 2 |
| 2.570 | 46 | 1 1 1 |
| 2.641 | 30 | 1 0 2 |
| 1.990 | 25 | 1 1 3 |
| 2.502 | 21 | 0 1 3 |
| 3.282 | 19 | 1 0 0 |
| 1.748 | 13 | 1 2 2 |
| 1.483 | 12 | 1 1 5 |
| 1.841 | 11 | 1 0 4 |